For NpPdPb2O6, a cell relaxed with GGA-PBE gives the simulated powder diffractogram in this record (λ = 1.5418 Å (Cu Kα)).

Structure:
Lattice parameters (Å, degrees): 6.260 6.260 5.190 107.55 107.55 54.51
Fractional positions:
Np 0.000 0.000 0.000
Pd 0.500 0.500 0.500
Pb 0.267 0.267 0.788
Pb 0.733 0.733 0.212
O 0.168 0.168 0.280
O 0.177 0.661 0.201
O 0.339 0.823 0.799
O 0.661 0.177 0.201
O 0.823 0.339 0.799
O 0.832 0.832 0.720

Most intense lines, 2θ from 5° to 70°, sorted by position:
Position (°2θ), I (rel.)
18.17, 15
27.46, 100
30.26, 95
31.20, 39
34.26, 27
34.89, 26
47.01, 26
47.50, 31
53.27, 17
54.94, 18

For Tc2PbAuO8, a cell relaxed with GGA-PBE gives the simulated powder diffractogram in this record (λ = 1.5418 Å (Cu Kα)).

Structure:
Lattice parameters (Å, degrees): 7.941 7.941 7.941 40.96 40.96 40.96
Fractional positions:
Tc 0.241 0.241 0.241
Tc 0.759 0.759 0.759
Pb 0.500 0.500 0.500
Au 0.000 0.000 0.000
O 0.061 0.462 0.680
O 0.161 0.161 0.161
O 0.320 0.538 0.939
O 0.462 0.680 0.061
O 0.538 0.939 0.320
O 0.680 0.061 0.462
O 0.839 0.839 0.839
O 0.939 0.320 0.538

Most intense lines, 2θ from 5° to 70°, sorted by position:
Position (°2θ), I (rel.)
20.17, 12
24.69, 100
32.22, 54
37.96, 34
40.90, 13
41.01, 26
53.09, 25
57.46, 14
60.95, 16
61.29, 16